# 1
Starting from a cell relaxed with PBE, the powder X-ray diffraction pattern of Sm3AlGaNi4 was computed for λ = 1.5418 Å (Cu Kα).
Kinematic intensities with the Lorentz-polarization factor, no thermal factor.

Structural model:
```
9
Lattice="4.9905 -2.0720 0.0000 4.9905 2.0720 0.0000 -1.2182 0.0000 8.1498" Properties=species:S:1:pos:R:3 pbc="T T T"
Sm 0.0000 0.0000 0.0000
Sm 2.9761 0.0000 5.0338
Sm 5.7581 0.0000 3.0805
Al 5.8022 0.0000 6.4051
Ga 2.9473 0.0000 1.7652
Ni 0.0631 0.0000 5.1861
Ni 1.5192 0.0000 7.4499
Ni 7.2324 0.0000 0.6984
Ni 8.7072 0.0000 2.9781
```

Peak list (10 most intense, 2θ from 5° to 70°, in order of falling intensity)
Position (°2θ), I (rel.)
26.32, 100
34.82, 80
43.68, 79
39.14, 68
41.89, 57
31.16, 56
35.28, 48
36.44, 39
39.69, 31
32.97, 30

---

# 2
Starting from a cell relaxed with PBE, the powder X-ray diffraction pattern of TbAl2Ga2Ni was computed for λ = 1.5418 Å (Cu Kα).
Kinematic intensities with the Lorentz-polarization factor, no thermal factor.

Structural model:
```
12
Lattice="2.0544 -7.6984 0.0000 2.0544 7.6984 0.0000 0.0000 0.0000 6.5399" Properties=species:S:1:pos:R:3 pbc="T T T"
Tb 2.0544 5.8459 4.9050
Tb 2.0544 -5.8459 1.6350
Al 2.0544 6.5588 1.6350
Al 2.0544 0.0000 0.0000
Al 2.0544 0.0000 3.2700
Al 2.0544 -6.5588 4.9050
Ga 2.0544 2.8345 3.6027
Ga 2.0544 2.8345 6.2072
Ga 2.0544 -2.8345 0.3327
Ga 2.0544 -2.8345 2.9372
Ni 2.0544 4.2347 1.6350
Ni 2.0544 -4.2347 4.9050
```

Peak list (10 most intense, 2θ from 5° to 70°, in order of falling intensity)
Position (°2θ), I (rel.)
35.57, 100
11.49, 84
39.35, 67
36.46, 61
31.06, 54
37.66, 52
39.06, 51
44.08, 49
17.80, 35
59.33, 27

---

# 3
Starting from a cell relaxed with PBE, the powder X-ray diffraction pattern of TbAl2Ga2Ni was computed for λ = 1.5418 Å (Cu Kα).
Kinematic intensities with the Lorentz-polarization factor, no thermal factor.

Structural model:
```
12
Lattice="2.0322 -7.6641 0.0000 2.0322 7.6641 0.0000 0.0000 0.0000 6.6459" Properties=species:S:1:pos:R:3 pbc="T T T"
Tb 2.0322 5.8858 4.9845
Tb 2.0322 -5.8858 1.6615
Al 2.0322 2.9011 3.6748
Al 2.0322 2.9011 6.2941
Al 2.0322 -2.9011 0.3518
Al 2.0322 -2.9011 2.9711
Ga 2.0322 6.5390 1.6615
Ga 2.0322 0.0000 0.0000
Ga 2.0322 0.0000 3.3230
Ga 2.0322 -6.5390 4.9845
Ni 2.0322 4.2035 1.6615
Ni 2.0322 -4.2035 4.9845
```

Peak list (10 most intense, 2θ from 5° to 70°, in order of falling intensity)
Position (°2θ), I (rel.)
35.38, 100
36.72, 40
39.22, 36
37.72, 30
44.59, 29
35.77, 23
44.75, 22
26.83, 21
31.17, 20
28.05, 19

---

# 4
Starting from a cell relaxed with PBE, the powder X-ray diffraction pattern of YAl2Ga2Ni was computed for λ = 1.5418 Å (Cu Kα).
Kinematic intensities with the Lorentz-polarization factor, no thermal factor.

Structural model:
```
12
Lattice="2.0315 -7.6478 0.0000 2.0315 7.6478 0.0000 0.0000 0.0000 6.6666" Properties=species:S:1:pos:R:3 pbc="T T T"
Y 2.0315 5.8714 4.9999
Y 2.0315 -5.8714 1.6666
Al 2.0315 2.8984 3.6884
Al 2.0315 2.8984 6.3114
Al 2.0315 -2.8984 0.3551
Al 2.0315 -2.8984 2.9781
Ga 2.0315 6.5209 1.6666
Ga 2.0315 0.0000 0.0000
Ga 2.0315 0.0000 3.3333
Ga 2.0315 -6.5209 4.9999
Ni 2.0315 4.1908 1.6666
Ni 2.0315 -4.1908 4.9999
```

Peak list (10 most intense, 2θ from 5° to 70°, in order of falling intensity)
Position (°2θ), I (rel.)
35.32, 100
36.78, 36
39.26, 33
44.60, 30
44.76, 27
37.78, 24
65.03, 17
35.73, 15
28.08, 14
55.10, 13

---

# 5
Starting from a cell relaxed with PBE, the powder X-ray diffraction pattern of PrAlGaPd2 was computed for λ = 1.5418 Å (Cu Kα).
Kinematic intensities with the Lorentz-polarization factor, no thermal factor.

Structural model:
```
10
Lattice="4.4558 0.0000 0.0000 0.0000 4.4558 0.0000 0.0000 0.0000 9.9096" Properties=species:S:1:pos:R:3 pbc="T T T"
Pr 1.1139 1.1139 2.4658
Pr 3.3418 3.3418 7.4437
Al 1.1139 1.1139 6.1541
Al 3.3418 3.3418 3.7554
Ga 1.1139 3.3418 0.0000
Ga 3.3418 1.1139 0.0000
Pd 1.1139 1.1139 8.6196
Pd 1.1139 3.3418 4.9548
Pd 3.3418 1.1139 4.9548
Pd 3.3418 3.3418 1.2900
```

Peak list (10 most intense, 2θ from 5° to 70°, in order of falling intensity)
Position (°2θ), I (rel.)
33.73, 100
40.49, 39
69.34, 20
53.72, 17
58.60, 13
50.39, 12
66.54, 10
26.94, 10
63.61, 9
46.64, 7

---

# 6
Starting from a cell relaxed with PBE, the powder X-ray diffraction pattern of Sc2AlGaPd4 was computed for λ = 1.5418 Å (Cu Kα).
Kinematic intensities with the Lorentz-polarization factor, no thermal factor.

Structural model:
```
8
Lattice="4.3015 0.0000 0.0000 -2.1508 3.7252 0.0000 0.0000 0.0000 8.7014" Properties=species:S:1:pos:R:3 pbc="T T T"
Sc 0.0000 2.4835 2.1844
Sc 2.1508 1.2417 6.5171
Al 0.0000 0.0000 0.0000
Ga 0.0000 0.0000 4.3507
Pd 0.0000 2.4835 5.1096
Pd 0.0000 2.4835 7.9632
Pd 2.1508 1.2417 0.7382
Pd 2.1508 1.2417 3.5919
```

Peak list (10 most intense, 2θ from 5° to 70°, in order of falling intensity)
Position (°2θ), I (rel.)
39.37, 100
42.01, 78
58.93, 30
23.89, 24
26.02, 22
20.41, 20
47.14, 14
69.56, 11
48.46, 8
50.08, 4

---

# 7
Starting from a cell relaxed with PBE, the powder X-ray diffraction pattern of SrAlGaPd2 was computed for λ = 1.5418 Å (Cu Kα).
Kinematic intensities with the Lorentz-polarization factor, no thermal factor.

Structural model:
```
10
Lattice="4.4481 0.0000 0.0000 0.0000 4.4481 0.0000 0.0000 0.0000 10.3448" Properties=species:S:1:pos:R:3 pbc="T T T"
Sr 1.1120 1.1120 2.5185
Sr 3.3361 3.3361 7.8263
Al 1.1120 3.3361 5.1724
Al 3.3361 1.1120 5.1724
Ga 1.1120 1.1120 9.0847
Ga 3.3361 3.3361 1.2601
Pd 1.1120 1.1120 6.4837
Pd 1.1120 3.3361 0.0000
Pd 3.3361 1.1120 0.0000
Pd 3.3361 3.3361 3.8612
```

Peak list (10 most intense, 2θ from 5° to 70°, in order of falling intensity)
Position (°2θ), I (rel.)
33.34, 100
32.86, 98
40.56, 96
53.15, 49
45.40, 44
8.55, 42
58.71, 32
48.53, 31
28.38, 28
29.69, 28

---

# 8
Starting from a cell relaxed with PBE, the powder X-ray diffraction pattern of AlGa3Pt4 was computed for λ = 1.5418 Å (Cu Kα).
Kinematic intensities with the Lorentz-polarization factor, no thermal factor.

Structural model:
```
8
Lattice="3.5064 2.0244 2.8590 -3.5064 2.0244 2.8590 0.0000 -4.0489 2.8590" Properties=species:S:1:pos:R:3 pbc="T T T"
Al 0.0000 0.0000 0.0000
Ga -0.6562 -1.6579 4.6596
Ga -1.1077 1.3972 4.6596
Ga 1.7639 0.2607 4.6596
Pt -2.8098 -0.4049 3.7893
Pt 0.0000 0.0000 2.6120
Pt 1.7556 -2.2309 3.7893
Pt 1.0542 2.6358 3.7893
```

Peak list (10 most intense, 2θ from 5° to 70°, in order of falling intensity)
Position (°2θ), I (rel.)
40.70, 100
44.79, 46
25.42, 31
31.26, 21
36.25, 11
62.11, 10
68.22, 10
55.63, 8
58.92, 8
65.20, 6

---

# 9
Starting from a cell relaxed with PBE, the powder X-ray diffraction pattern of AlZn4GaPt2 was computed for λ = 1.5418 Å (Cu Kα).
Kinematic intensities with the Lorentz-polarization factor, no thermal factor.

Structural model:
```
8
Lattice="8.1075 0.0000 0.0000 0.0000 2.1336 3.6989 0.0000 -2.1336 3.6989" Properties=species:S:1:pos:R:3 pbc="T T T"
Al 0.0000 0.0000 0.0000
Zn 1.4076 0.0000 4.9363
Zn 2.6211 0.0000 2.4832
Zn 5.4864 0.0000 2.4832
Zn 6.6999 0.0000 4.9363
Ga 4.0538 0.0000 0.0215
Pt 0.0000 0.0000 2.4649
Pt 4.0538 0.0000 4.9547
```

Peak list (10 most intense, 2θ from 5° to 70°, in order of falling intensity)
Position (°2θ), I (rel.)
41.38, 100
42.34, 83
26.50, 48
24.07, 34
60.70, 32
21.93, 25
48.18, 20
63.27, 14
50.65, 9
68.09, 7

---

# 10
Starting from a cell relaxed with PBE, the powder X-ray diffraction pattern of SmAlGa2 was computed for λ = 1.5418 Å (Cu Kα).
Kinematic intensities with the Lorentz-polarization factor, no thermal factor.

Structural model:
```
8
Lattice="4.4921 0.0000 0.0000 0.0000 3.2206 5.5938 0.0000 -3.2206 5.5938" Properties=species:S:1:pos:R:3 pbc="T T T"
Sm 0.0000 0.0000 0.0000
Sm 2.2461 0.0000 3.7517
Al 2.2461 -1.3614 6.7005
Al 2.2461 1.3614 6.7005
Ga 0.0000 -1.3953 8.2579
Ga 0.0000 0.0000 5.8655
Ga 0.0000 1.3953 8.2579
Ga 2.2461 0.0000 9.0888
```

Peak list (10 most intense, 2θ from 5° to 70°, in order of falling intensity)
Position (°2θ), I (rel.)
37.93, 100
25.44, 38
32.04, 27
40.15, 21
27.67, 17
52.26, 13
57.08, 11
42.81, 9
60.14, 8
49.46, 7

---

# 11
Starting from a cell relaxed with PBE, the powder X-ray diffraction pattern of Sm2Al5Ga was computed for λ = 1.5418 Å (Cu Kα).
Kinematic intensities with the Lorentz-polarization factor, no thermal factor.

Structural model:
```
8
Lattice="4.5604 0.0000 0.0000 0.0000 3.2151 5.5890 0.0000 -3.2151 5.5890" Properties=species:S:1:pos:R:3 pbc="T T T"
Sm 0.0000 0.0000 0.0000
Sm 2.2802 0.0000 3.7430
Al 0.0000 -1.3809 8.2471
Al 0.0000 1.3809 8.2471
Al 2.2802 -1.3851 6.6687
Al 2.2802 0.0000 9.0701
Al 2.2802 1.3851 6.6687
Ga 0.0000 0.0000 5.8388
```

Peak list (10 most intense, 2θ from 5° to 70°, in order of falling intensity)
Position (°2θ), I (rel.)
37.81, 100
25.22, 78
27.71, 38
32.09, 26
39.52, 21
48.94, 19
15.88, 18
42.85, 14
51.78, 13
47.48, 13

---

Please write out number 9 again, unchanged.
Starting from a cell relaxed with PBE, the powder X-ray diffraction pattern of AlZn4GaPt2 was computed for λ = 1.5418 Å (Cu Kα).
Kinematic intensities with the Lorentz-polarization factor, no thermal factor.

Structural model:
```
8
Lattice="8.1075 0.0000 0.0000 0.0000 2.1336 3.6989 0.0000 -2.1336 3.6989" Properties=species:S:1:pos:R:3 pbc="T T T"
Al 0.0000 0.0000 0.0000
Zn 1.4076 0.0000 4.9363
Zn 2.6211 0.0000 2.4832
Zn 5.4864 0.0000 2.4832
Zn 6.6999 0.0000 4.9363
Ga 4.0538 0.0000 0.0215
Pt 0.0000 0.0000 2.4649
Pt 4.0538 0.0000 4.9547
```

Peak list (10 most intense, 2θ from 5° to 70°, in order of falling intensity)
Position (°2θ), I (rel.)
41.38, 100
42.34, 83
26.50, 48
24.07, 34
60.70, 32
21.93, 25
48.18, 20
63.27, 14
50.65, 9
68.09, 7